No. 1
Starting from a structure optimized by DFT (GGA-PBE), the powder X-ray diffraction pattern of ErTeI was simulated for Cu Kα (λ = 1.5418 Å).
Peak positions follow from Bragg's law for the DFT cell and can differ from measured ones.

Peak list (10 most intense, 10° ≤ 2θ ≤ 90°, sorted by position)
two_theta  I (rel.)
23.83  60
28.82  28
31.06  100
33.14  56
37.38  78
39.16  54
43.23  51
52.78  30
55.53  26
59.73  32

Structure:
```
data_ErTeI
_chemical_formula_sum 'Er4 Te4 I4'
_cell_length_a 4.186
_cell_length_b 4.186
_cell_length_c 24.784
_cell_angle_alpha 90.00
_cell_angle_beta 90.00
_cell_angle_gamma 90.00
_space_group_name_H-M_alt 'I -4 m 2'
_space_group_IT_number 119
_space_group_name_Hall 'I -4 -2'
loop_
_atom_site_label
_atom_site_fract_x
_atom_site_fract_y
_atom_site_fract_z
Er1 0.000 0.000 0.164
Te1 0.000 0.000 0.294
I1 0.000 0.500 0.073
```

---

No. 2
Starting from a structure optimized by DFT (GGA-PBE), the powder X-ray diffraction pattern of TeRuIN2 was simulated for Cu Kα (λ = 1.5418 Å).
Peak positions follow from Bragg's law for the DFT cell and can differ from measured ones.

Peak list (10 most intense, 10° ≤ 2θ ≤ 90°, sorted by position)
two_theta  I (rel.)
15.32  35
22.09  24
26.99  31
30.92  72
31.44  100
35.14  42
44.67  76
45.05  49
55.64  52
82.87  26

Structure:
```
data_TeRuIN2
_chemical_formula_sum 'Te1 Ru1 I1 N2'
_cell_length_a 4.025
_cell_length_b 4.025
_cell_length_c 5.785
_cell_angle_alpha 90.00
_cell_angle_beta 90.00
_cell_angle_gamma 90.00
_space_group_name_H-M_alt 'P 4/m m m'
_space_group_IT_number 123
_space_group_name_Hall '-P 4 2'
loop_
_atom_site_label
_atom_site_fract_x
_atom_site_fract_y
_atom_site_fract_z
Te1 0.000 0.000 0.000
Ru1 0.000 0.000 0.500
I1 0.500 0.500 0.000
N1 0.000 0.500 0.500
```

---

No. 3
Starting from a structure optimized by DFT (GGA-PBE), the powder X-ray diffraction pattern of CeSc2ZnPd4 was simulated for Cu Kα (λ = 1.5418 Å).
Peak positions follow from Bragg's law for the DFT cell and can differ from measured ones.

Peak list (10 most intense, 10° ≤ 2θ ≤ 90°, sorted by position)
two_theta  I (rel.)
23.43  20
28.83  12
34.03  10
36.95  85
39.08  100
43.27  15
54.87  26
69.41  25
70.81  16
83.98  10

Structure:
```
data_CeSc2ZnPd4
_chemical_formula_sum 'Ce3 Sc6 Zn3 Pd12'
_cell_length_a 4.6095
_cell_length_b 4.6095
_cell_length_c 24.5477
_cell_angle_alpha 90.00
_cell_angle_beta 90.00
_cell_angle_gamma 120.00
_space_group_name_H-M_alt 'R -3 m'
_space_group_IT_number 166
_space_group_name_Hall '-R 3 2"'
loop_
_atom_site_label
_atom_site_fract_x
_atom_site_fract_y
_atom_site_fract_z
Ce1 0.0000 0.0000 0.0000
Sc1 0.0000 0.0000 0.2379
Zn1 0.0000 0.0000 0.5000
Pd1 0.0000 0.0000 0.1265
Pd2 0.0000 0.0000 0.3939
```

---

No. 4
Starting from a structure optimized by DFT (GGA-PBE), the powder X-ray diffraction pattern of La2CeSb3 was simulated for Cu Kα (λ = 1.5418 Å).
Peak positions follow from Bragg's law for the DFT cell and can differ from measured ones.

Peak list (8 most intense, 10° ≤ 2θ ≤ 90°, sorted by position)
two_theta  I (rel.)
23.76  1
27.50  100
39.28  77
48.62  28
56.76  13
64.21  35
71.21  26
84.48  8

Structure:
```
data_La2CeSb3
_chemical_formula_sum 'La32 Ce16 Sb48'
_cell_length_a 9.176
_cell_length_b 12.976
_cell_length_c 27.515
_cell_angle_alpha 90.00
_cell_angle_beta 90.00
_cell_angle_gamma 90.00
_space_group_name_H-M_alt 'F d d d'
_space_group_IT_number 70
loop_
_space_group_symop_operation_xyz
'x,y,z'
'-x,-y,-z'
'-x+1/4,-y+1/4,z'
'x+1/4,y+1/4,-z'
'x,-y+1/4,-z+1/4'
'-x,y+1/4,z+1/4'
'-x+1/4,y,-z+1/4'
'x+1/4,-y,z+1/4'
'x,y+1/2,z+1/2'
'-x,-y+1/2,-z+1/2'
'-x+1/4,-y+3/4,z+1/2'
'x+1/4,y+3/4,-z+1/2'
'x,-y+3/4,-z+3/4'
'-x,y+3/4,z+3/4'
'-x+1/4,y+1/2,-z+3/4'
'x+1/4,-y+1/2,z+3/4'
'x+1/2,y,z+1/2'
'-x+1/2,-y,-z+1/2'
'-x+3/4,-y+1/4,z+1/2'
'x+3/4,y+1/4,-z+1/2'
'x+1/2,-y+1/4,-z+3/4'
'-x+1/2,y+1/4,z+3/4'
'-x+3/4,y,-z+3/4'
'x+3/4,-y,z+3/4'
'x+1/2,y+1/2,z'
'-x+1/2,-y+1/2,-z'
'-x+3/4,-y+3/4,z'
'x+3/4,y+3/4,-z'
'x+1/2,-y+3/4,-z+1/4'
'-x+1/2,y+3/4,z+1/4'
'-x+3/4,y+1/2,-z+1/4'
'x+3/4,-y+1/2,z+1/4'
loop_
_atom_site_label
_atom_site_fract_x
_atom_site_fract_y
_atom_site_fract_z
La1 0.125 0.125 0.042
La2 0.125 0.125 0.374
Ce1 0.125 0.125 0.542
Sb1 0.119 0.375 0.875
Sb2 0.122 0.372 0.709
```

---

No. 5
Starting from a structure optimized by DFT (GGA-PBE), the powder X-ray diffraction pattern of Tb5Pm2Tm2 was simulated for Cu Kα (λ = 1.5418 Å).
Peak positions follow from Bragg's law for the DFT cell and can differ from measured ones.

Peak list (10 most intense, 10° ≤ 2θ ≤ 90°, sorted by position)
two_theta  I (rel.)
29.62  35
31.46  53
31.58  98
32.79  100
48.47  21
55.31  19
57.62  17
58.93  22
61.51  30
62.25  15

Structure:
```
data_Tb5Pm2Tm2
_chemical_formula_sum 'Tb5 Pm2 Tm2'
_cell_length_a 8.733
_cell_length_b 3.558
_cell_length_c 9.615
_cell_angle_alpha 90.00
_cell_angle_beta 103.18
_cell_angle_gamma 90.00
_space_group_name_H-M_alt 'P 1 2/m 1'
_space_group_IT_number 10
_space_group_name_Hall '-P 2y'
loop_
_atom_site_label
_atom_site_fract_x
_atom_site_fract_y
_atom_site_fract_z
Tb1 0.000 0.000 0.000
Tb2 0.314 0.000 0.533
Tb3 0.356 0.500 0.212
Pm1 0.028 0.500 0.684
Tm1 0.337 0.000 0.889
```

---

No. 6
Starting from a structure optimized by DFT (GGA-PBE), the powder X-ray diffraction pattern of Cs2PtI5 was simulated for Cu Kα (λ = 1.5418 Å).
Peak positions follow from Bragg's law for the DFT cell and can differ from measured ones.

Peak list (10 most intense, 10° ≤ 2θ ≤ 90°, sorted by position)
two_theta  I (rel.)
13.22  78
21.99  33
26.61  100
29.91  70
32.63  28
39.31  23
42.81  23
44.85  42
51.12  24
54.84  20

Structure:
```
data_Cs2PtI5
_chemical_formula_sum 'Cs4 Pt2 I10'
_cell_length_a 8.449
_cell_length_b 8.449
_cell_length_c 10.979
_cell_angle_alpha 90.00
_cell_angle_beta 90.00
_cell_angle_gamma 90.00
_space_group_name_H-M_alt 'I 4 m m'
_space_group_IT_number 107
_space_group_name_Hall 'I 4 -2'
loop_
_atom_site_label
_atom_site_fract_x
_atom_site_fract_y
_atom_site_fract_z
Cs1 0.000 0.500 0.000
Pt1 0.000 0.000 0.271
I1 0.000 0.000 0.528
I2 0.223 0.223 0.248
```

---

No. 7
Starting from a structure optimized by DFT (GGA-PBE), the powder X-ray diffraction pattern of NaYSi2O6 was simulated for Cu Kα (λ = 1.5418 Å).
Peak positions follow from Bragg's law for the DFT cell and can differ from measured ones.

Peak list (10 most intense, 10° ≤ 2θ ≤ 90°, sorted by position)
two_theta  I (rel.)
13.76  63
15.39  83
18.31  29
22.55  52
28.58  47
28.76  62
28.99  51
29.45  60
30.37  100
33.81  39

Structure:
```
data_NaYSi2O6
_chemical_formula_sum 'Na12 Y12 Si24 O72'
_cell_length_a 8.304
_cell_length_b 10.515
_cell_length_c 18.022
_cell_angle_alpha 90.00
_cell_angle_beta 101.57
_cell_angle_gamma 90.00
_space_group_name_H-M_alt 'C 1 2/c 1'
_space_group_IT_number 15
_space_group_name_Hall '-C 2yc'
loop_
_atom_site_label
_atom_site_fract_x
_atom_site_fract_y
_atom_site_fract_z
Na1 0.000 0.125 0.250
Na2 0.171 0.184 0.081
Y1 0.000 0.393 0.750
Y2 0.182 0.453 0.575
Si1 0.000 0.173 0.602
Si2 0.145 0.329 0.399
Si3 0.233 0.120 0.742
O1 0.009 0.325 0.876
O2 0.040 0.405 0.452
O3 0.056 0.089 0.682
O4 0.101 0.180 0.386
O5 0.130 0.402 0.316
O6 0.157 0.158 0.558
O7 0.167 0.119 0.949
O8 0.212 0.495 0.199
O9 0.230 0.262 0.776
```

---

No. 8
Starting from a structure optimized by DFT (GGA-PBE), the powder X-ray diffraction pattern of Sr2PuUO6 was simulated for Cu Kα (λ = 1.5418 Å).
Peak positions follow from Bragg's law for the DFT cell and can differ from measured ones.

Peak list (10 most intense, 10° ≤ 2θ ≤ 90°, sorted by position)
two_theta  I (rel.)
20.59  46
28.90  24
29.30  100
29.62  23
41.90  36
47.14  17
51.47  20
51.76  12
52.36  24
60.77  14

Structure:
```
data_Sr2PuUO6
_chemical_formula_sum 'Sr4 Pu2 U2 O12'
_cell_length_a 6.031
_cell_length_b 6.178
_cell_length_c 10.515
_cell_angle_alpha 90.00
_cell_angle_beta 125.01
_cell_angle_gamma 90.00
_space_group_name_H-M_alt 'P 1 21/c 1'
_space_group_IT_number 14
_space_group_name_Hall '-P 2ybc'
loop_
_atom_site_label
_atom_site_fract_x
_atom_site_fract_y
_atom_site_fract_z
Sr1 0.239 0.045 0.251
Pu1 0.500 0.000 0.000
U1 0.000 0.000 0.500
O1 0.137 0.212 0.940
O2 0.238 0.697 0.948
O3 0.346 0.043 0.742
```

---

No. 9
Starting from a structure optimized by DFT (GGA-PBE), the powder X-ray diffraction pattern of RbAgAsCl6 was simulated for Cu Kα (λ = 1.5418 Å).
Peak positions follow from Bragg's law for the DFT cell and can differ from measured ones.

Peak list (10 most intense, 10° ≤ 2θ ≤ 90°, sorted by position)
two_theta  I (rel.)
12.22  38
19.46  100
26.30  19
29.09  33
32.93  19
36.30  74
42.62  27
46.41  25
58.07  13
60.30  13

Structure:
```
data_RbAgAsCl6
_chemical_formula_sum 'Rb1 Ag1 As1 Cl6'
_cell_length_a 6.7775
_cell_length_b 6.7775
_cell_length_c 7.2452
_cell_angle_alpha 90.00
_cell_angle_beta 90.00
_cell_angle_gamma 120.00
_space_group_name_H-M_alt 'P 3 1 2'
_space_group_IT_number 149
_space_group_name_Hall 'P 3 2'
loop_
_atom_site_label
_atom_site_fract_x
_atom_site_fract_y
_atom_site_fract_z
Rb1 0.0000 0.0000 0.0000
Ag1 0.3333 0.6667 0.5000
As1 0.6667 0.3333 0.5000
Cl1 0.3847 0.0117 0.7033
```

---

No. 10
Starting from a structure optimized by DFT (GGA-PBE), the powder X-ray diffraction pattern of YCd3Pd7 was simulated for Cu Kα (λ = 1.5418 Å).
Peak positions follow from Bragg's law for the DFT cell and can differ from measured ones.

Peak list (10 most intense, 10° ≤ 2θ ≤ 90°, sorted by position)
two_theta  I (rel.)
34.27  59
37.87  73
38.36  100
39.32  27
39.82  20
41.32  32
41.69  23
44.33  36
51.99  28
56.09  21

Structure:
```
data_YCd3Pd7
_chemical_formula_sum 'Y2 Cd6 Pd14'
_cell_length_a 9.059
_cell_length_b 9.503
_cell_length_c 5.353
_cell_angle_alpha 90.00
_cell_angle_beta 113.17
_cell_angle_gamma 90.00
_space_group_name_H-M_alt 'C 1 2/m 1'
_space_group_IT_number 12
_space_group_name_Hall '-C 2y'
loop_
_atom_site_label
_atom_site_fract_x
_atom_site_fract_y
_atom_site_fract_z
Y1 0.000 0.000 0.000
Cd1 0.000 0.283 0.500
Cd2 0.000 0.500 0.000
Pd1 0.000 0.000 0.500
Pd2 0.179 0.261 0.183
Pd3 0.209 0.500 0.539
```

---

Question: Which formula does entry 5 have?
Answer: Tb5Pm2Tm2